The following is a calculated X-ray powder pattern of PPd3Au. It was derived from a cell relaxed with GGA-PBE, using a wavelength of 1.5418 Å.
Intensities are scaled so that the largest is 100.

Top 12 peaks for 10 to 80 degrees two-theta, in order of rising 2θ:
index  2θ (°)  d [Å]  I/Imax
1 0 2  31.70  2.822  38
1 -1 1  33.37  2.685  34
0 2 1  34.07  2.632  25
1 0 -2  34.49  2.600  84
1 2 1  35.62  2.520  40
1 2 0  37.39  2.405  48
0 2 2  37.82  2.379  29
1 1 3  40.41  2.232  100
0 2 -1  41.01  2.201  27
2 0 0  41.24  2.189  100
-1 2 1  43.98  2.059  27
0 1 -3  47.70  1.907  34

Structure:
Lattice parameters (Å, degrees): 4.5000 5.4222 7.2248 72.91 81.79 77.33
Space group P1 (No. 1)
Asymmetric unit:
P  0.0000  0.0000  0.0000 x1
P  0.1857  0.6458  0.5095 x1
Pd  0.0008  0.6045  0.2372 x1
Pd  0.0358  0.2252  0.6690 x1
Pd  0.1136  0.6567  0.8313 x1
Pd  0.1718  0.0565  0.2748 x1
Pd  0.5277  0.9619  0.9070 x1
Pd  0.6400  0.7361  0.5753 x1
Au  0.5751  0.2772  0.4328 x1
Au  0.6337  0.3986  0.0234 x1